Theoretical powder diffraction line list of Na2FeO3 for Cu Ka, from a crystal structure in Alexandria, relaxed with PBE+U.
Lines closer than 0.1° are merged.

Largest 12 diffraction maxima, low angle first, 2θ = 15–90°:
two_theta	I/Imax	index
16.30	60.4	0 0 2
19.30	12.7	1 1 0
20.78	11.5	0 2 1
32.94	17.5	0 0 4
33.85	10.0	2 0 0
35.21	39.5	2 0 -2
40.18	100.0	1 3 -3
40.33	49.8	2 0 2
56.55	14.0	2 0 -6
56.76	28.0	1 3 5
59.68	37.5	0 6 0
74.50	11.2	2 6 2

Cell and atoms:
```
data_Na2FeO3
_chemical_formula_sum 'Na16 Fe8 O24'
_symmetry_space_group_name_H-M 'C 1 2 1'
_symmetry_Int_Tables_number 5
_cell_length_a 5.3663
_cell_length_b 9.2968
_cell_length_c 11.0316
_cell_angle_alpha 90.00
_cell_angle_beta 99.61
_cell_angle_gamma 90.00
loop_
_symmetry_equiv_pos_as_xyz
'x,y,z'
'-x,y,-z'
'x+1/2,y+1/2,z'
'-x+1/2,y+1/2,-z'
loop_
_atom_site_label
_atom_site_fract_x
_atom_site_fract_y
_atom_site_fract_z
Na1 0.0000 0.0000 0.0000
Na2 0.0000 0.1720 0.5000
Na3 0.2370 0.0067 0.7500
Na4 0.2385 0.1658 0.2501
Na5 0.2440 0.8342 0.2499
Fe1 0.0000 0.3334 0.0000
Fe2 0.0000 0.5050 0.5000
Fe3 0.0000 0.6661 0.0000
Fe4 0.0000 0.8381 0.5000
O1 0.0868 0.5060 0.8983
O2 0.0873 0.6778 0.3992
O3 0.1452 0.9804 0.3976
O4 0.1471 0.8078 0.8998
O5 0.1600 0.1861 0.8969
O6 0.1630 0.3583 0.3986
```